[1]
Structure and computed powder X-ray diffraction pattern of Ni3Se4 (a DFT-relaxed cell (PBE, the Materials Project); Cu Kα).
Neutral-atom scattering factors, no anomalous dispersion.

Cell: 9.991 9.991 9.991 Å, 90.00 90.00 90.00°
Space group Fd-3m (No. 227, origin choice 2)
Unique sites:
Ni1 0.000 0.000 0.000 [16 per cell]
Ni2 0.125 0.125 0.625 [8 per cell]
Se1 0.009 0.009 0.241 [32 per cell]

Top 6 peaks for 10° ≤ 2θ ≤ 80°, low angle first:
| index | two_theta | intensity |
| --- | --- | --- |
| 3 1 1 | 29.65 | 42 |
| 2 2 2 | 31.01 | 39 |
| 4 0 0 | 35.95 | 83 |
| 5 1 1 | 47.27 | 32 |
| 4 4 0 | 51.76 | 100 |
| 4 4 4 | 64.63 | 18 |



[2]
Structure and computed powder X-ray diffraction pattern of CaLaGaO4 (a DFT-relaxed cell (PBE, the Materials Project); Cu Kα).
Neutral-atom scattering factors, no anomalous dispersion.

Cell: 11.906 6.893 5.392 Å, 90.00 90.00 90.00°
Space group Pnma (No. 62)
Unique sites:
Ca1 0.000 0.000 0.000 [4 per cell]
La1 0.221 0.250 0.493 [4 per cell]
Ga1 0.090 0.750 0.433 [4 per cell]
O1 0.051 0.250 0.723 [4 per cell]
O2 0.092 0.750 0.775 [4 per cell]
O3 0.163 0.541 0.271 [8 per cell]

Top 6 peaks for 10° ≤ 2θ ≤ 80°, low angle first:
| index | two_theta | intensity |
| --- | --- | --- |
| 1 1 1 | 22.22 | 76 |
| 0 2 0 | 25.85 | 39 |
| 3 0 1 | 27.91 | 32 |
| 3 1 1 | 30.84 | 100 |
| 1 2 1 | 31.71 | 44 |
| 2 2 2 | 45.35 | 43 |